Starting from a structure optimized by DFT (GGA-PBE), the PXRD pattern of CsPa3 was computed for λ = 1.5418 Å (Cu Kα).
Lines closer than 0.1° are merged.

a = 4.7565 Å, b = 4.7565 Å, c = 4.7565 Å
α = 90.00°, β = 90.00°, γ = 90.00°
Space group Pm-3m (No. 221)
Unique sites:
Cs: 0.0000 0.0000 0.0000 [1 per cell]
Pa: 0.0000 0.5000 0.5000 [3 per cell]

The 10 most intense peaks (10° ≤ 2θ ≤ 80°), by angle:
2theta, Rel. int., h k l
18.7, 4, 1 0 0
26.5, 3, 1 1 0
32.6, 100, 1 1 1
37.8, 51, 2 0 0
42.5, 2, 2 1 0
46.8, 2, 2 1 1
54.6, 36, 2 2 0
58.2, 1, 3 0 0
65.0, 43, 3 1 1
68.3, 12, 2 2 2